Record 1
Theoretical X-ray powder pattern of InP2CS for Cu Kα, from DFT lattice parameters and positions (GGA-PBE).
Intensities are scaled so that the largest is 100.

Top 10 peaks for 2θ = 10–90°, by intensity:
2theta, Rel. int.
36.8, 100
29.7, 40
43.4, 37
61.6, 25
21.3, 24
75.2, 23
41.5, 21
30.3, 21
20.4, 15
53.4, 15

Atomic structure:
a b c (Å): 4.174 4.174 4.350
angles (deg): 90.00 90.00 90.00
Element x y z (fractional)
In (0.000, 0.000, 0.000)
P (0.000, 0.500, 0.500)
P (0.500, 0.000, 0.500)
C (0.500, 0.500, 0.500)
S (0.500, 0.500, 0.000)

Record 2
Theoretical X-ray powder pattern of Tb4InPbC for Cu Kα, from DFT lattice parameters and positions (GGA-PBE).
Intensities are scaled so that the largest is 100.

Top 10 peaks for 2θ = 10–90°, by intensity:
2theta, Rel. int.
34.4, 100
28.2, 62
36.8, 59
64.7, 32
50.8, 31
33.8, 25
53.0, 21
25.8, 18
64.5, 16
64.4, 15

Atomic structure:
a b c (Å): 8.671 8.671 6.911
angles (deg): 90.00 90.00 133.00
Element x y z (fractional)
Tb (0.000, 0.500, 0.000)
Tb (0.000, 0.500, 0.500)
Tb (0.089, 0.911, 0.750)
Tb (0.409, 0.591, 0.750)
Tb (0.500, 0.000, 0.000)
Tb (0.500, 0.000, 0.500)
Tb (0.591, 0.409, 0.250)
Tb (0.911, 0.089, 0.250)
In (0.113, 0.887, 0.250)
In (0.887, 0.113, 0.750)
Pb (0.389, 0.611, 0.250)
Pb (0.611, 0.389, 0.750)
C (0.249, 0.751, 0.750)
C (0.751, 0.249, 0.250)

Record 3
Theoretical X-ray powder pattern of Th2InRuC for Cu Kα, from DFT lattice parameters and positions (GGA-PBE).
Intensities are scaled so that the largest is 100.

Top 10 peaks for 2θ = 10–90°, by intensity:
2theta, Rel. int.
27.3, 100
30.5, 72
33.4, 68
33.8, 36
48.4, 36
36.9, 32
37.6, 28
12.1, 27
32.8, 23
50.8, 22

Atomic structure:
a b c (Å): 7.721 3.761 8.402
angles (deg): 90.00 108.82 90.00
Element x y z (fractional)
Th (0.138, 0.250, 0.386)
Th (0.211, 0.750, 0.005)
Th (0.789, 0.250, 0.995)
Th (0.862, 0.750, 0.614)
In (0.469, 0.750, 0.707)
In (0.531, 0.250, 0.293)
Ru (0.205, 0.250, 0.715)
Ru (0.795, 0.750, 0.285)
C (0.010, 0.750, 0.176)
C (0.990, 0.250, 0.824)

Record 4
Theoretical X-ray powder pattern of InSb2C for Cu Kα, from DFT lattice parameters and positions (GGA-PBE).
Intensities are scaled so that the largest is 100.

Top 10 peaks for 2θ = 10–90°, by intensity:
2theta, Rel. int.
28.2, 100
27.6, 66
25.0, 56
40.6, 52
28.8, 47
14.0, 47
33.9, 45
24.8, 34
31.5, 33
25.3, 30

Atomic structure:
a b c (Å): 5.801 6.668 6.750
angles (deg): 96.98 106.93 104.52
Element x y z (fractional)
In (0.000, 0.000, 0.000)
In (0.013, 0.596, 0.338)
Sb (0.041, 0.600, 0.813)
Sb (0.378, 0.401, 0.069)
Sb (0.513, 0.363, 0.679)
Sb (0.563, 0.943, 0.624)
C (0.774, 0.980, 0.415)
C (0.876, 0.973, 0.276)

Record 5
Theoretical X-ray powder pattern of InSb2C for Cu Kα, from DFT lattice parameters and positions (GGA-PBE).
Intensities are scaled so that the largest is 100.

Top 10 peaks for 2θ = 10–90°, by intensity:
2theta, Rel. int.
30.9, 100
32.9, 91
28.6, 80
35.3, 63
34.7, 61
37.9, 58
23.3, 50
31.9, 41
18.7, 40
26.2, 39

Atomic structure:
a b c (Å): 6.221 6.251 7.008
angles (deg): 63.77 85.03 62.32
Element x y z (fractional)
In (0.000, 0.000, 0.000)
In (0.011, 0.368, 0.549)
Sb (0.066, 0.491, 0.972)
Sb (0.490, 0.838, 0.678)
Sb (0.515, 0.631, 0.276)
Sb (0.560, 0.155, 0.242)
C (0.198, 0.543, 0.659)
C (0.352, 0.638, 0.568)

Record 6
Theoretical X-ray powder pattern of Tb2InC for Cu Kα, from DFT lattice parameters and positions (GGA-PBE).
Intensities are scaled so that the largest is 100.

Top 10 peaks for 2θ = 10–90°, by intensity:
2theta, Rel. int.
32.0, 100
33.9, 76
32.7, 41
61.4, 40
50.4, 40
29.4, 26
28.7, 25
56.8, 17
38.5, 16
60.4, 16

Atomic structure:
a b c (Å): 8.466 8.466 8.466
angles (deg): 24.70 24.70 24.70
Element x y z (fractional)
Tb (0.222, 0.222, 0.222)
Tb (0.778, 0.778, 0.778)
In (0.000, 0.000, 0.000)
C (0.500, 0.500, 0.500)